Structure and calculated XRD peak list of Ho4MgCo (the PBE geometry in the Materials Project; CuKα).
Lines closer than 0.1° are merged.

Principal peaks in the range 15 to 90 degrees two-theta, low angle first:
| 2theta | intensity | h k l |
| --- | --- | --- |
| 28.83 | 59 | 3 3 1 |
| 32.49 | 67 | 4 2 2 |
| 34.52 | 100 | 5 1 1 |
| 37.69 | 28 | 4 4 0 |
| 55.73 | 20 | 7 3 3 |
| 57.96 | 60 | 6 6 0 |

Lattice parameters (Å, degrees): 13.500 13.500 13.500 90.00 90.00 90.00
Space group F-43m (No. 216)
Unique sites:
Ho (0.000, 0.000, 0.186) [24 per cell]
Ho (0.063, 0.250, 0.250) [24 per cell]
Ho (0.155, 0.155, 0.655) [16 per cell]
Mg (0.079, 0.079, 0.421) [16 per cell]
Co (0.141, 0.141, 0.859) [16 per cell]